No. 1
For ZnH2SeO4, a structure optimized by DFT (PBE) gives the calculated powder X-ray diffraction pattern in this record (Cu Kα X-rays).
Lines closer than 0.1° are merged.

Most intense lines, 2θ = 10–80°, by intensity:
two_theta  intensity
12.82  100.0
22.40  72.0
30.43  56.9
31.70  55.1
35.96  35.8
31.45  33.5
56.55  30.6
27.84  30.0
16.66  29.9
35.06  24.4

Structure:
Cell lengths 4.859, 13.806, 7.345 Å; angles 90.00, 128.26, 90.00 degrees
Fractional positions:
Zn 0.179 0.231 0.373
Zn 0.179 0.269 0.873
Zn 0.821 0.731 0.127
Zn 0.821 0.769 0.627
H 0.288 0.618 0.963
H 0.288 0.882 0.463
H 0.463 0.632 0.229
H 0.463 0.868 0.729
H 0.537 0.132 0.271
H 0.537 0.368 0.771
H 0.712 0.118 0.537
H 0.712 0.382 0.037
Se 0.392 0.607 0.621
Se 0.392 0.893 0.121
Se 0.608 0.107 0.879
Se 0.608 0.393 0.379
O 0.063 0.637 0.631
O 0.063 0.863 0.131
O 0.254 0.181 0.665
O 0.254 0.319 0.165
O 0.307 0.673 0.386
O 0.307 0.827 0.886
O 0.485 0.117 0.379
O 0.485 0.383 0.879
O 0.515 0.617 0.121
O 0.515 0.883 0.621
O 0.693 0.173 0.114
O 0.693 0.327 0.614
O 0.746 0.681 0.835
O 0.746 0.819 0.335
O 0.937 0.137 0.869
O 0.937 0.363 0.369

---

No. 2
For ZnH2SeO5, a structure optimized by DFT (PBE) gives the calculated powder X-ray diffraction pattern in this record (Cu Kα X-rays).
Lines closer than 0.1° are merged.

Most intense lines, 2θ = 10–80°, by intensity:
two_theta  intensity
25.09  100.0
17.61  50.7
33.64  38.6
28.60  33.8
25.56  28.3
35.80  23.3
33.45  21.2
40.18  16.7
55.45  13.4
42.07  13.2

Structure:
Cell lengths 5.420, 5.420, 7.760 Å; angles 106.36, 106.36, 98.60 degrees
Fractional positions:
Zn 0.000 0.500 0.000
Zn 0.500 0.000 0.500
H 0.032 0.135 0.704
H 0.135 0.032 0.204
H 0.865 0.968 0.796
H 0.968 0.865 0.296
Se 0.413 0.587 0.750
Se 0.587 0.413 0.250
O 0.123 0.877 0.250
O 0.253 0.313 0.155
O 0.283 0.690 0.921
O 0.310 0.717 0.579
O 0.313 0.253 0.655
O 0.687 0.747 0.345
O 0.690 0.283 0.421
O 0.717 0.310 0.079
O 0.747 0.687 0.845
O 0.877 0.123 0.750

---

No. 3
For SiH2O, a structure optimized by DFT (PBE) gives the calculated powder X-ray diffraction pattern in this record (Cu Kα X-rays).
Lines closer than 0.1° are merged.

Most intense lines, 2θ = 10–80°, by intensity:
two_theta  intensity
30.46  100.0
17.72  63.8
36.52  26.2
34.90  21.3
36.00  13.7
35.89  12.1
49.88  11.5
39.89  10.9
48.62  10.0
62.01  9.0

Structure:
Cell lengths 4.929, 3.657, 5.013 Å; angles 90.00, 93.30, 90.00 degrees
Fractional positions:
Si 0.000 0.000 0.000
Si 0.500 0.500 0.000
H 0.130 0.000 0.569
H 0.155 0.500 0.047
H 0.630 0.500 0.569
H 0.655 0.000 0.047
O 0.461 0.500 0.663
O 0.961 0.000 0.663

---

No. 4
For Si2H2O5, a structure optimized by DFT (PBE) gives the calculated powder X-ray diffraction pattern in this record (Cu Kα X-rays).
Lines closer than 0.1° are merged.

Most intense lines, 2θ = 10–80°, by intensity:
two_theta  intensity
23.08  100.0
21.60  49.2
22.45  44.6
10.75  41.0
25.10  12.9
41.53  12.4
34.40  10.2
39.92  9.3
16.40  7.4
47.16  6.6

Structure:
Cell lengths 8.971, 8.971, 5.222 Å; angles 103.84, 103.84, 37.20 degrees
Fractional positions:
Si 0.153 0.847 0.500
Si 0.154 0.475 0.347
Si 0.475 0.154 0.847
Si 0.847 0.153 0.000
H 0.523 0.638 0.696
H 0.638 0.523 0.196
H 0.714 0.772 0.645
H 0.772 0.714 0.145
O 0.052 0.986 0.791
O 0.132 0.678 0.400
O 0.282 0.320 0.600
O 0.320 0.282 0.100
O 0.440 0.680 0.516
O 0.619 0.875 0.802
O 0.678 0.132 0.900
O 0.680 0.440 0.016
O 0.875 0.619 0.302
O 0.986 0.052 0.291

---

No. 5
For Si2H2O5, a structure optimized by DFT (PBE) gives the calculated powder X-ray diffraction pattern in this record (Cu Kα X-rays).
Lines closer than 0.1° are merged.

Most intense lines, 2θ = 10–80°, by intensity:
two_theta  intensity
22.70  100.0
22.57  14.6
11.30  13.5
15.92  7.0
34.44  6.8
46.33  5.0
38.99  5.0
38.78  4.2
55.11  3.8
43.09  3.6

Structure:
Cell lengths 8.752, 8.752, 5.955 Å; angles 109.48, 109.48, 34.61 degrees
Fractional positions:
Si 0.096 0.096 0.193
Si 0.399 0.409 0.502
Si 0.591 0.601 0.498
Si 0.904 0.904 0.807
H 0.189 0.257 0.132
H 0.487 0.190 0.129
H 0.743 0.811 0.868
H 0.810 0.513 0.871
O 0.014 0.986 0.000
O 0.103 0.218 0.047
O 0.147 0.615 0.653
O 0.335 0.330 0.229
O 0.385 0.853 0.347
O 0.453 0.547 0.500
O 0.670 0.129 0.621
O 0.670 0.665 0.771
O 0.782 0.897 0.953
O 0.871 0.330 0.379